Diffraction record for PrLuS. The PXRD pattern is simulated, not measured: it uses a crystal structure in Alexandria, relaxed with PBE and Cu Kα.

Crystal structure
```
PrLuS
1.0
3.8059 0.0000 0.0000
-1.9030 3.2960 0.0000
0.0000 0.0000 6.4863
Pr Lu S
1 1 1
direct
0.0000 0.0000 0.0000
0.3333 0.6667 0.4738
0.6667 0.3333 0.7120
```

The 10 most intense peaks (5 to 70 degrees two-theta), by angle:
- 27.05°, d = 3.296 Å, I 14, hkl 1 0 0
- 27.50°, d = 3.243 Å, I 22, hkl 0 0 2
- 30.42°, d = 2.938 Å, I 100, hkl 0 1 1
- 38.96°, d = 2.312 Å, I 25, hkl 1 0 2
- 47.80°, d = 1.903 Å, I 23, hkl 1 1 0
- 50.48°, d = 1.808 Å, I 23, hkl 0 1 3
- 56.03°, d = 1.641 Å, I 19, hkl 1 1 2
- 56.77°, d = 1.622 Å, I 4, hkl 0 0 4
- 57.72°, d = 1.597 Å, I 16, hkl 2 0 1
- 63.30°, d = 1.469 Å, I 6, hkl 0 2 2